Structure and theoretical powder diffraction line list of ThNi2GeO6 (DFT lattice parameters and positions (PBE+U); λ = 1.5418 Å (Cu Kα)).
Kinematic intensities with the Lorentz-polarization factor, no thermal factor.

Cell and atoms:
```
data_ThNi2GeO6
_chemical_formula_sum 'Th1 Ni2 Ge1 O6'
_symmetry_space_group_name_H-M 'P 4 m m'
_symmetry_Int_Tables_number 99
_symmetry_space_group_name_Hall 'P 4 -2'
_cell_length_a 5.486
_cell_length_b 5.486
_cell_length_c 4.939
_cell_angle_alpha 90.00
_cell_angle_beta 90.00
_cell_angle_gamma 90.00
loop_
_atom_site_label
_atom_site_fract_x
_atom_site_fract_y
_atom_site_fract_z
Th1 0.000 0.000 0.000
Ni1 0.000 0.500 0.354
Ge1 0.500 0.500 0.074
O1 0.000 0.000 0.587
O2 0.271 0.271 0.208
O3 0.500 0.500 0.725
```

Principal peaks in the range 2θ from 10° to 90°, most intense first:
2θ 29.27, I 100; 2θ 17.96, I 47; 2θ 32.64, I 45; 2θ 43.44, I 33; 2θ 56.20, I 32; 2θ 22.92, I 28; 2θ 16.16, I 28; 2θ 46.84, I 27